Theoretical powder diffractogram
Compound: Cr2BiOsPt
Radiation: λ = 1.5418 Å (Cu Kα)
Structure: a DFT-relaxed cell (PBE, Alexandria)
Kinematic intensities with the Lorentz-polarization factor, no thermal factor.

Cell and atoms:
```
data_Cr2BiOsPt
_chemical_formula_sum 'Cr2 Bi1 Os1 Pt1'
_space_group_name_H-M_alt 'P 4/m m m'
_space_group_IT_number 123
_space_group_name_Hall '-P 4 2'
_cell_length_a 4.6833
_cell_length_b 4.6833
_cell_length_c 5.1394
_cell_angle_alpha 90.00
_cell_angle_beta 90.00
_cell_angle_gamma 90.00
loop_
_atom_site_label
_atom_site_fract_x
_atom_site_fract_y
_atom_site_fract_z
Cr1 0.0000 0.5000 0.0000
Bi1 0.0000 0.0000 0.5000
Os1 0.0000 0.0000 0.0000
Pt1 0.5000 0.5000 0.5000
```

Main lines, sorted by position (10 to 90 degrees two-theta):
2θ (°)	Rel. int.	(hkl)
18.95	41	1 0 0
25.74	30	1 0 1
26.92	100	1 1 0
32.15	59	1 1 1
34.92	55	0 0 2
38.44	85	2 0 0
44.63	54	1 1 2
52.90	67	2 0 2
55.50	29	2 2 0
67.27	33	2 2 2

Theoretical powder diffractogram
Compound: CrBiP
Radiation: λ = 1.5418 Å (Cu Kα)
Structure: a DFT-relaxed cell (PBE, Alexandria)
Kinematic intensities with the Lorentz-polarization factor, no thermal factor.

Cell and atoms:
```
data_CrBiP
_chemical_formula_sum 'Cr3 Bi3 P3'
_space_group_name_H-M_alt 'R 3 m'
_space_group_IT_number 160
_space_group_name_Hall 'R 3 -2"'
_cell_length_a 3.8767
_cell_length_b 3.8767
_cell_length_c 13.9223
_cell_angle_alpha 90.00
_cell_angle_beta 90.00
_cell_angle_gamma 120.00
loop_
_atom_site_label
_atom_site_fract_x
_atom_site_fract_y
_atom_site_fract_z
Cr1 0.0000 0.0000 0.0000
Bi1 0.0000 0.0000 0.8030
P1 0.0000 0.0000 0.3163
```

Main lines, sorted by position (10 to 90 degrees two-theta):
2θ (°)	Rel. int.	(hkl)
19.12	34	0 0 3
27.33	100	1 0 1
29.54	82	0 1 2
37.21	72	1 0 4
38.81	23	0 0 6
42.16	44	0 1 5
46.87	50	1 1 0
51.06	19	1 1 3
61.31	17	0 2 4
62.43	35	1 1 6

Theoretical powder diffractogram
Compound: PmCrBi
Radiation: λ = 1.5418 Å (Cu Kα)
Structure: a DFT-relaxed cell (PBE, Alexandria)
Kinematic intensities with the Lorentz-polarization factor, no thermal factor.

Cell and atoms:
```
data_PmCrBi
_chemical_formula_sum 'Pm2 Cr2 Bi2'
_space_group_name_H-M_alt 'P -1'
_space_group_IT_number 2
_space_group_name_Hall '-P 1'
_cell_length_a 4.1819
_cell_length_b 5.9460
_cell_length_c 6.5102
_cell_angle_alpha 81.12
_cell_angle_beta 71.27
_cell_angle_gamma 89.90
loop_
_atom_site_label
_atom_site_fract_x
_atom_site_fract_y
_atom_site_fract_z
Pm1 0.1281 0.3067 0.2438
Cr1 0.2236 0.9096 0.0515
Bi1 0.4123 0.2267 0.6757
```

Main lines, sorted by position (10 to 90 degrees two-theta):
2θ (°)	Rel. int.	(hkl)
26.51	22	1 1 1
27.86	69	1 -1 1
29.36	29	0 0 2
30.47	42	0 2 0
31.64	35	0 2 1
32.70	100	1 1 2
35.38	18	0 1 -2
36.00	61	1 1 -1
43.27	33	2 0 1
53.30	33	1 3 0

Theoretical powder diffractogram
Compound: Rb3CrBi
Radiation: λ = 1.5418 Å (Cu Kα)
Structure: a DFT-relaxed cell (PBE, Alexandria)
Kinematic intensities with the Lorentz-polarization factor, no thermal factor.

Cell and atoms:
```
data_Rb3CrBi
_chemical_formula_sum 'Rb3 Cr1 Bi1'
_space_group_name_H-M_alt 'P m -3 m'
_space_group_IT_number 221
_space_group_name_Hall '-P 4 2 3'
_cell_length_a 7.1771
_cell_length_b 7.1771
_cell_length_c 7.1771
_cell_angle_alpha 90.00
_cell_angle_beta 90.00
_cell_angle_gamma 90.00
loop_
_atom_site_label
_atom_site_fract_x
_atom_site_fract_y
_atom_site_fract_z
Rb1 0.0000 0.0000 0.5000
Cr1 0.5000 0.5000 0.5000
Bi1 0.0000 0.0000 0.0000
```

Main lines, sorted by position (10 to 90 degrees two-theta):
2θ (°)	Rel. int.	(hkl)
12.33	98	1 0 0
17.47	49	1 1 0
24.81	100	2 0 0
27.80	62	2 1 0
30.51	26	2 1 1
35.37	79	2 2 0
37.60	36	3 0 0
43.69	29	2 2 2
57.42	39	4 2 0
63.50	29	4 2 2